(1)
Simulated X-ray powder pattern
Compound: TmIn8Cu4
Radiation: Cu Kα, 1.54184 Å
Structure: DFT lattice parameters and positions (PBE)

Peak list (12 most intense, 10° ≤ 2θ ≤ 90°, by intensity)
d_spacing	Rel. int.
2.430	100.0
2.808	58.1
2.175	42.9
1.402	35.9
2.427	35.0
1.539	16.6
2.171	10.3
1.146	10.3
1.836	10.1
1.214	8.1
3.435	7.8
1.217	7.3

Cell: 7.4179 7.4179 7.4179 Å, 98.27 98.27 135.42°
Fractional coordinates of all 13 atoms:
Tm  0.0000  0.0000  0.0000
In  0.0000  0.3380  0.3380
In  0.0000  0.6620  0.6620
In  0.2854  0.5000  0.7854
In  0.3380  0.0000  0.3380
In  0.5000  0.2854  0.7854
In  0.5000  0.7146  0.2146
In  0.6620  0.0000  0.6620
In  0.7146  0.5000  0.2146
Cu  0.0000  0.0000  0.5000
Cu  0.0000  0.5000  0.0000
Cu  0.5000  0.0000  0.0000
Cu  0.5000  0.5000  0.5000

---

(2)
Simulated X-ray powder pattern
Compound: Y2TmIn3Cu3
Radiation: Cu Kα, 1.54184 Å
Structure: DFT lattice parameters and positions (PBE)

Peak list (12 most intense, 10° ≤ 2θ ≤ 90°, by intensity)
d_spacing	Rel. int.
2.685	100.0
2.482	75.0
2.463	55.5
2.172	29.8
1.513	23.7
2.072	21.4
1.917	21.2
1.393	18.0
1.635	15.4
1.437	15.1
6.511	11.6
1.392	10.1

Cell: 3.8338 7.5199 7.5199 Å, 119.89 90.00 90.00°
Fractional coordinates of all 9 atoms:
Y  0.0000  0.2044  0.7956
Y  0.0000  0.7956  0.2044
Tm  0.0000  0.6130  0.6130
In  0.5000  0.2058  0.4619
In  0.5000  0.4619  0.2058
In  0.5000  0.9466  0.9466
Cu  0.0000  0.2057  0.2057
Cu  0.5000  0.5390  0.8681
Cu  0.5000  0.8681  0.5390

---

(3)
Simulated X-ray powder pattern
Compound: YTmIn4Cu2
Radiation: Cu Kα, 1.54184 Å
Structure: DFT lattice parameters and positions (PBE)

Peak list (12 most intense, 10° ≤ 2θ ≤ 90°, by intensity)
d_spacing	Rel. int.
2.717	100.0
2.586	59.9
2.188	37.4
2.206	27.7
2.764	27.4
2.221	26.5
2.512	25.1
1.294	19.1
1.443	18.4
1.559	17.1
2.091	16.8
2.674	16.3

Cell: 7.3260 4.3757 10.6975 Å, 90.00 90.00 90.00°
Fractional coordinates of all 16 atoms:
Y  0.0000  0.0000  0.0000
Y  0.0000  0.5000  0.5000
Tm  0.5000  0.0000  0.1419
Tm  0.5000  0.5000  0.6419
In  0.2028  0.0000  0.7081
In  0.2028  0.5000  0.2081
In  0.2988  0.0000  0.4332
In  0.2988  0.5000  0.9332
In  0.7012  0.0000  0.4332
In  0.7012  0.5000  0.9332
In  0.7972  0.0000  0.7081
In  0.7972  0.5000  0.2081
Cu  0.0000  0.0000  0.2834
Cu  0.0000  0.5000  0.7834
Cu  0.5000  0.0000  0.8595
Cu  0.5000  0.5000  0.3595

---

(4)
Simulated X-ray powder pattern
Compound: ZnInCu6
Radiation: Cu Kα, 1.54184 Å
Structure: DFT lattice parameters and positions (PBE)

Peak list (12 most intense, 10° ≤ 2θ ≤ 90°, by intensity)
d_spacing	Rel. int.
2.031	100.0
2.163	27.2
2.301	24.9
1.132	17.5
1.222	17.0
1.328	14.9
1.576	14.3
1.112	12.4
3.152	4.7
1.150	2.4
4.601	2.1
1.739	1.2

Cell: 5.3130 5.3130 4.3261 Å, 90.00 90.00 120.00°
Fractional coordinates of all 8 atoms:
Zn  0.0000  0.0000  0.0000
In  0.3333  0.6667  0.5000
Cu  0.3363  0.1682  0.5000
Cu  0.5077  0.0154  0.0000
Cu  0.5077  0.4923  0.0000
Cu  0.8318  0.1682  0.5000
Cu  0.8318  0.6637  0.5000
Cu  0.9846  0.4923  0.0000

---

(5)
Simulated X-ray powder pattern
Compound: Zr5In3Cu
Radiation: Cu Kα, 1.54184 Å
Structure: DFT lattice parameters and positions (PBE)

Peak list (12 most intense, 10° ≤ 2θ ≤ 90°, by intensity)
d_spacing	Rel. int.
2.445	100.0
2.519	87.9
2.571	68.4
1.754	25.8
1.274	19.0
1.975	18.6
1.621	16.2
1.440	14.4
2.952	14.1
1.388	12.0
1.663	11.1
1.323	10.5

Cell: 8.7256 8.7256 5.9047 Å, 90.00 90.00 120.00°
Fractional coordinates of all 18 atoms:
Zr  0.0000  0.2676  0.2500
Zr  0.0000  0.7324  0.7500
Zr  0.2676  0.0000  0.2500
Zr  0.2676  0.2676  0.7500
Zr  0.3333  0.6667  0.0000
Zr  0.3333  0.6667  0.5000
Zr  0.6667  0.3333  0.0000
Zr  0.6667  0.3333  0.5000
Zr  0.7324  0.0000  0.7500
Zr  0.7324  0.7324  0.2500
In  0.0000  0.3808  0.7500
In  0.0000  0.6192  0.2500
In  0.3808  0.0000  0.7500
In  0.3808  0.3808  0.2500
In  0.6192  0.0000  0.2500
In  0.6192  0.6192  0.7500
Cu  0.0000  0.0000  0.0000
Cu  0.0000  0.0000  0.5000

---

(6)
Simulated X-ray powder pattern
Compound: La2PrCu2Si4Ir2
Radiation: Cu Kα, 1.54184 Å
Structure: DFT lattice parameters and positions (PBE)

Peak list (12 most intense, 10° ≤ 2θ ≤ 90°, by intensity)
d_spacing	Rel. int.
2.653	100.0
2.685	19.7
2.089	18.3
2.073	17.9
3.065	16.3
2.389	12.2
1.472	11.8
3.698	11.5
6.131	11.4
1.718	10.6
1.291	10.5
1.964	10.3

Cell: 12.6103 12.6103 12.6103 Å, 161.07 160.93 27.00°
Fractional coordinates of all 11 atoms:
La  0.1462  0.1462  0.0000
La  0.8538  0.8538  0.0000
Pr  0.0000  0.5000  0.5000
Cu  0.4030  0.4030  0.0000
Cu  0.5970  0.5970  0.0000
Si  0.3025  0.3025  0.0000
Si  0.4508  0.9508  0.5000
Si  0.5492  0.0492  0.5000
Si  0.6975  0.6975  0.0000
Ir  0.2492  0.7492  0.5000
Ir  0.7508  0.2508  0.5000

---

(7)
Simulated X-ray powder pattern
Compound: LiCu3IrS4
Radiation: Cu Kα, 1.54184 Å
Structure: DFT lattice parameters and positions (PBE)

Peak list (12 most intense, 10° ≤ 2θ ≤ 90°, by intensity)
d_spacing	Rel. int.
5.478	100.0
1.937	55.6
2.450	50.5
1.826	27.1
3.873	20.6
2.739	20.1
1.118	18.0
1.329	14.5
1.519	12.7
3.162	10.6
1.195	10.3
2.236	9.8

Cell: 5.4776 5.4776 5.4776 Å, 90.00 90.00 90.00°
Fractional coordinates of all 9 atoms:
Li  0.0000  0.0000  0.0000
Cu  0.0000  0.5000  0.5000
Cu  0.5000  0.0000  0.5000
Cu  0.5000  0.5000  0.0000
Ir  0.5000  0.5000  0.5000
S  0.2547  0.2547  0.2547
S  0.2547  0.7453  0.7453
S  0.7453  0.2547  0.7453
S  0.7453  0.7453  0.2547

---

(8)
Simulated X-ray powder pattern
Compound: Li4CuSn2Ir
Radiation: Cu Kα, 1.54184 Å
Structure: DFT lattice parameters and positions (PBE)

Peak list (12 most intense, 10° ≤ 2θ ≤ 90°, by intensity)
d_spacing	Rel. int.
3.616	100.0
2.214	95.3
1.890	33.6
1.279	22.3
1.437	20.8
1.886	16.7
1.206	12.0
6.251	11.8
1.277	11.1
1.567	10.9
4.433	9.9
1.107	7.4

Cell: 4.4331 4.4331 6.2511 Å, 90.00 90.00 90.00°
Fractional coordinates of all 8 atoms:
Li  0.0000  0.0000  0.0000
Li  0.0000  0.5000  0.2496
Li  0.5000  0.0000  0.7504
Li  0.5000  0.5000  0.5000
Cu  0.0000  0.0000  0.5000
Sn  0.0000  0.5000  0.7536
Sn  0.5000  0.0000  0.2464
Ir  0.5000  0.5000  0.0000